Structure and theoretical powder X-ray diffraction pattern of Li2MnFeP2O8 (the PBE+U geometry in Alexandria; a wavelength of 1.5418 Å).

Peak list (10 most intense, 10° ≤ 2θ ≤ 90°, by angle)
d_spacing  2theta  Rel. int.  hkl
5.227  17.0  42  0 0 2
4.338  20.5  85  1 0 1
3.546  25.1  53  1 1 1
3.535  25.2  66  -1 1 1
3.066  29.1  100  0 2 0
2.567  35.0  37  1 1 3
2.556  35.1  70  -1 1 3
2.550  35.2  36  1 1 -3
2.501  35.9  32  1 -2 1
1.767  51.7  38  2 2 -2

Atomic structure:
```
28
Lattice="4.7672 0.0000 0.0000 0.0147 6.1313 0.0000 0.0598 0.0380 10.4547" Properties=species:S:1:pos:R:3 pbc="T T T"
Li 0.0000 0.0000 0.0000
Li 0.0103 3.0602 0.0030
Li 2.4409 3.0969 5.2494
Li 2.4533 0.0445 5.2681
Mn 2.2709 4.6287 2.2976
Mn 4.6882 1.5673 2.9534
Fe 0.2008 4.6275 7.5378
Fe 2.5872 1.5671 8.1856
P 0.4653 1.5619 6.2489
P 1.9942 1.5248 0.9565
P 2.8489 4.6333 9.4899
P 4.3998 4.6340 4.2664
O 1.0555 1.5710 4.8109
O 1.0965 2.7978 6.9906
O 1.0934 0.3169 6.9767
O 1.1734 4.6182 4.1927
O 1.3115 4.6339 9.4597
O 1.3594 0.2878 1.6943
O 1.3653 2.7569 1.6967
O 1.4552 1.5634 9.9759
O 3.3732 4.5933 0.4807
O 3.4882 5.8687 8.7538
O 3.4837 3.3954 8.7554
O 3.5301 1.5234 0.9873
O 3.6940 1.5616 6.2719
O 3.7429 3.4123 3.5273
O 3.7612 5.8880 3.5801
O 3.8521 4.6103 5.7229
```